# 1
Simulated XRD peak list
Compound: RbSrNpO4
Radiation: Cu Kα X-rays
Structure: a DFT-relaxed cell (PBE, Alexandria)
Neutral-atom scattering factors, no anomalous dispersion.

Atomic structure:
a b c (Å): 4.398 4.398 13.042
angles (deg): 90.00 90.00 90.00
Space group I4mm (No. 107)
Asymmetric unit:
Rb 0.000 0.000 0.000 (multiplicity 2)
Sr 0.000 0.000 0.291 (multiplicity 2)
Np 0.000 0.000 0.645 (multiplicity 2)
O 0.000 0.000 0.488 (multiplicity 2)
O 0.000 0.000 0.800 (multiplicity 2)
O 0.000 0.500 0.162 (multiplicity 4)

Most intense lines, 2θ = 15–90°, by intensity:
Position (°2θ), I_rel, h k l
28.88, 100, 1 0 3
28.71, 65, 1 1 0
50.96, 43, 2 1 3
41.04, 34, 2 0 0
21.32, 33, 1 0 1
40.20, 22, 1 0 5
67.37, 21, 3 1 0
51.28, 20, 1 1 6

=====

# 2
Simulated XRD peak list
Compound: NbZn5Ni4
Radiation: Cu Kα X-rays
Structure: a DFT-relaxed cell (PBE, Alexandria)
Neutral-atom scattering factors, no anomalous dispersion.

Atomic structure:
a b c (Å): 2.904 2.904 15.320
angles (deg): 90.00 90.00 90.00
Space group P4/mmm (No. 123)
Asymmetric unit:
Nb 0.000 0.000 0.000 (multiplicity 1)
Zn 0.500 0.500 0.126 (multiplicity 2)
Zn 0.500 0.500 0.313 (multiplicity 2)
Zn 0.500 0.500 0.500 (multiplicity 1)
Ni 0.000 0.000 0.220 (multiplicity 2)
Ni 0.000 0.000 0.406 (multiplicity 2)

Most intense lines, 2θ = 15–90°, by intensity:
Position (°2θ), I_rel, h k l
42.91, 100, 1 0 5
44.10, 59, 1 1 0
80.28, 28, 2 1 5
64.13, 18, 2 0 0
47.42, 14, 1 0 6
38.92, 10, 1 0 4
77.78, 7, 1 1 10
83.95, 7, 1 1 11

=====

# 3
Simulated XRD peak list
Compound: NaTaCl6
Radiation: Cu Kα X-rays
Structure: a DFT-relaxed cell (PBE, Alexandria)
Neutral-atom scattering factors, no anomalous dispersion.

Atomic structure:
a b c (Å): 6.741 7.061 20.494
angles (deg): 90.00 91.51 90.00
Space group P2_1/c (No. 14)
Asymmetric unit:
Na 0.208 0.196 0.261 (multiplicity 4)
Ta 0.265 0.710 0.621 (multiplicity 4)
Cl 0.018 0.028 0.841 (multiplicity 4)
Cl 0.095 0.513 0.165 (multiplicity 4)
Cl 0.115 0.738 0.021 (multiplicity 4)
Cl 0.397 0.662 0.735 (multiplicity 4)
Cl 0.415 0.069 0.091 (multiplicity 4)
Cl 0.459 0.105 0.398 (multiplicity 4)

Most intense lines, 2θ = 15–90°, by intensity:
Position (°2θ), I_rel, h k l
15.24, 100, 0 1 2
18.20, 50, 1 1 0
15.93, 47, 1 0 2
15.55, 46, 1 0 -2
17.31, 30, 0 0 4
29.63, 29, 1 0 6
30.46, 24, 2 1 -2
29.77, 22, 1 2 -2

=====

# 4
Simulated XRD peak list
Compound: NaTb6Se8
Radiation: Cu Kα X-rays
Structure: a DFT-relaxed cell (PBE, Alexandria)
Neutral-atom scattering factors, no anomalous dispersion.

Atomic structure:
a b c (Å): 11.551 11.551 11.551
angles (deg): 90.00 90.00 90.00
Space group Fm-3m (No. 225)
Asymmetric unit:
Na 0.000 0.000 0.000 (multiplicity 4)
Tb 0.000 0.250 0.250 (multiplicity 24)
Se 0.000 0.000 0.254 (multiplicity 24)
Se 0.250 0.250 0.250 (multiplicity 8)

Most intense lines, 2θ = 15–90°, by intensity:
Position (°2θ), I_rel, h k l
30.97, 100, 4 0 0
44.36, 74, 4 4 0
73.30, 33, 8 4 0
55.08, 26, 4 4 4
81.68, 25, 8 4 4
15.34, 17, 2 0 0
21.76, 16, 2 2 0
64.54, 12, 8 0 0

=====

# 5
Simulated XRD peak list
Compound: Ba7P3N
Radiation: Cu Kα X-rays
Structure: a DFT-relaxed cell (PBE, Alexandria)
Neutral-atom scattering factors, no anomalous dispersion.

Atomic structure:
a b c (Å): 14.974 9.822 10.841
angles (deg): 90.00 90.00 90.00
Space group Cmcm (No. 63)
Asymmetric unit:
Ba 0.000 0.080 0.250 (multiplicity 4)
Ba 0.129 0.196 0.540 (multiplicity 16)
Ba 0.131 0.482 0.250 (multiplicity 8)
P 0.000 0.500 0.000 (multiplicity 4)
P 0.207 0.185 0.250 (multiplicity 8)
N 0.000 0.000 0.000 (multiplicity 4)

Most intense lines, 2θ = 15–90°, by intensity:
Position (°2θ), I_rel, h k l
24.46, 100, 0 2 2
25.91, 93, 3 1 2
34.37, 86, 4 2 2
27.90, 52, 1 3 0
23.77, 50, 4 0 0
26.96, 49, 1 1 3
32.71, 43, 3 3 0
33.05, 42, 0 0 4

=====

# 6
Simulated XRD peak list
Compound: TlHO
Radiation: Cu Kα X-rays
Structure: a DFT-relaxed cell (PBE, Alexandria)
Neutral-atom scattering factors, no anomalous dispersion.

Atomic structure:
a b c (Å): 3.483 5.785 5.506
angles (deg): 90.00 90.61 90.00
Space group P2_1 (No. 4)
Asymmetric unit:
Tl 0.003 0.000 0.250 (multiplicity 2)
H 0.497 0.073 0.835 (multiplicity 2)
O 0.500 0.208 0.941 (multiplicity 2)

Most intense lines, 2θ = 15–90°, by intensity:
Position (°2θ), I_rel, h k l
22.29, 100, 0 1 1
34.04, 37, 1 1 -1
34.31, 36, 1 1 1
25.57, 30, 1 0 0
40.54, 25, 1 2 0
30.91, 20, 0 2 0
45.48, 18, 0 2 2
32.52, 18, 0 0 2